No. 1
Diffraction record for LaTm5Cd2. The XRD peak list is theoretical, not measured: it uses a crystal structure in Alexandria, relaxed with PBE and Cu Kα.
Neutral-atom scattering factors, no anomalous dispersion.

Structure:
Unit cell a=8.354 b=8.354 c=8.354 alpha=155.17 beta=103.99 gamma=81.42
Atoms (fractional coordinates):
1 La 0.000 0.000 0.000
2 Tm 0.140 0.365 0.775
3 Tm 0.409 0.635 0.775
4 Tm 0.500 0.000 0.500
5 Tm 0.591 0.365 0.225
6 Tm 0.860 0.635 0.225
7 Cd 0.245 0.745 0.500
8 Cd 0.755 0.255 0.500

Most intense lines, 2θ = 10–80°, in order of rising 2θ:
2θ (°)  I/Imax
31.18  92
32.73  60
33.23  100
34.88  38
36.21  19
38.94  18
48.58  31
50.83  16
59.43  15
60.01  25
62.09  33
63.13  14

No. 2
Diffraction record for La12Tm6Cd. The XRD peak list is theoretical, not measured: it uses a crystal structure in Alexandria, relaxed with PBE and Cu Kα.
Neutral-atom scattering factors, no anomalous dispersion.

Structure:
Unit cell a=8.821 b=8.821 c=8.821 alpha=98.97 beta=98.97 gamma=98.97
Atoms (fractional coordinates):
1 La 0.000 0.260 0.740
2 La 0.000 0.740 0.260
3 La 0.167 0.581 0.581
4 La 0.260 0.000 0.740
5 La 0.260 0.740 0.000
6 La 0.419 0.419 0.833
7 La 0.419 0.833 0.419
8 La 0.581 0.167 0.581
9 La 0.581 0.581 0.167
10 La 0.740 0.000 0.260
11 La 0.740 0.260 0.000
12 La 0.833 0.419 0.419
13 Tm 0.142 0.142 0.405
14 Tm 0.142 0.405 0.142
15 Tm 0.405 0.142 0.142
16 Tm 0.595 0.858 0.858
17 Tm 0.858 0.595 0.858
18 Tm 0.858 0.858 0.595
19 Cd 0.000 0.000 0.000

Most intense lines, 2θ = 10–80°, in order of rising 2θ:
2θ (°)  I/Imax
29.22  36
31.14  58
31.34  87
31.61  100
33.96  26
36.28  14
49.13  23
54.77  18
56.25  24
57.41  14
58.48  13
60.73  13

No. 3
Diffraction record for La2TmCd2. The XRD peak list is theoretical, not measured: it uses a crystal structure in Alexandria, relaxed with PBE and Cu Kα.
Neutral-atom scattering factors, no anomalous dispersion.

Structure:
Unit cell a=3.734 b=5.405 c=14.728 alpha=90.00 beta=97.27 gamma=90.00
Atoms (fractional coordinates):
1 La 0.041 0.250 0.082
2 La 0.233 0.250 0.467
3 La 0.767 0.750 0.533
4 La 0.959 0.750 0.918
5 Tm 0.151 0.750 0.301
6 Tm 0.849 0.250 0.699
7 Cd 0.363 0.750 0.726
8 Cd 0.437 0.250 0.875
9 Cd 0.563 0.750 0.125
10 Cd 0.637 0.250 0.274

Most intense lines, 2θ = 10–80°, in order of rising 2θ:
2θ (°)  I/Imax
28.36  7
30.59  21
32.94  100
33.15  28
34.91  14
45.73  13
48.77  9
55.89  7
59.09  19
60.25  10
63.98  8
69.08  8

No. 4
Diffraction record for La3Tm2Cd2. The XRD peak list is theoretical, not measured: it uses a crystal structure in Alexandria, relaxed with PBE and Cu Kα.
Neutral-atom scattering factors, no anomalous dispersion.

Structure:
Unit cell a=11.873 b=11.873 c=3.555 alpha=90.00 beta=90.00 gamma=154.64
Atoms (fractional coordinates):
1 La 0.000 0.000 0.000
2 La 0.148 0.852 0.000
3 La 0.852 0.148 0.000
4 Tm 0.289 0.711 0.500
5 Tm 0.711 0.289 0.500
6 Cd 0.430 0.570 0.500
7 Cd 0.570 0.430 0.500

Most intense lines, 2θ = 10–80°, in order of rising 2θ:
2θ (°)  I/Imax
30.68  84
32.03  100
32.62  17
34.29  30
34.41  42
40.16  21
49.36  21
53.90  17
59.34  17
60.15  16
61.87  30
63.33  14